This entry pairs a crystal structure of K2SmP2S7 with its simulated powder X-ray diffraction pattern. Radiation: Cu Kα (weighted mean of Kα1 and Kα2). Structure: a structure optimized by DFT (GGA-PBE).

Crystal structure
```
data_K2SmP2S7
_chemical_formula_sum 'K8 Sm4 P8 S28'
_space_group_name_H-M_alt 'C 1 2 1'
_space_group_IT_number 5
_space_group_name_Hall 'C 2y'
_cell_length_a 22.938
_cell_length_b 6.782
_cell_length_c 9.051
_cell_angle_alpha 90.00
_cell_angle_beta 97.05
_cell_angle_gamma 90.00
loop_
_atom_site_label
_atom_site_type_symbol
_atom_site_fract_x
_atom_site_fract_y
_atom_site_fract_z
K1 K 0.057 0.000 0.198
K2 K 0.186 0.003 0.621
Sm1 Sm 0.160 0.481 0.033
P1 P 0.015 0.501 0.887
P2 P 0.228 0.021 0.207
S1 S 0.059 0.502 0.257
S2 S 0.066 0.252 0.884
S3 S 0.069 0.741 0.888
S4 S 0.184 0.505 0.731
S5 S 0.185 0.773 0.269
S6 S 0.190 0.255 0.305
S7 S 0.214 0.080 0.981
```

The 10 most intense peaks (10° ≤ 2θ ≤ 90°), sorted by position:
Position (°2θ)  intensity  h k l
13.62  93  1 1 0
17.12  73  1 1 1
20.85  88  3 1 1
23.68  78  4 0 -2
26.28  66  0 2 0
32.48  87  1 1 -3
32.91  69  4 2 1
34.63  100  2 2 2
39.44  64  6 2 -2
40.61  66  6 0 3